1.
# Dy3Hg
Calculated powder diffraction line list, CuKα. Input: DFT lattice parameters and positions (PBE).
Neutral-atom scattering factors, no anomalous dispersion.

Top 10 peaks for 2θ = 10–90°, sorted by position:
Position (°2θ)	I (rel.)	h k l
18.5	1	1 0 0
26.2	1	1 1 0
32.3	100	1 1 1
37.4	50	2 0 0
42.0	1	2 1 0
54.0	35	2 2 0
64.3	42	3 1 1
67.5	12	2 2 2
79.8	6	4 0 0
88.7	18	3 3 1

Crystal structure
```
data_Dy3Hg
_space_group_name_H-M_alt 'P m -3 m'
_space_group_IT_number 221
_space_group_name_Hall '-P 4 2 3'
_cell_length_a 4.8052
_cell_length_b 4.8052
_cell_length_c 4.8052
_cell_angle_alpha 90.00
_cell_angle_beta 90.00
_cell_angle_gamma 90.00
loop_
_atom_site_label
_atom_site_type_symbol
_atom_site_fract_x
_atom_site_fract_y
_atom_site_fract_z
_atom_site_occupancy
Dy1 Dy 0.0000 0.0000 0.5000 1
Hg1 Hg 0.5000 0.5000 0.5000 1
```

---

2.
# DyHoHg2
Calculated powder diffraction line list, CuKα. Input: DFT lattice parameters and positions (PBE).
Neutral-atom scattering factors, no anomalous dispersion.

Top 7 peaks for 2θ = 10–90°, sorted by position:
Position (°2θ)	I (rel.)	h k l
23.9	1	2 0 0
34.1	100	2 2 0
49.0	18	4 0 0
55.2	1	4 2 0
61.0	38	4 2 2
71.8	12	4 4 0
81.9	17	6 2 0

Crystal structure
```
data_DyHoHg2
_space_group_name_H-M_alt 'F m -3 m'
_space_group_IT_number 225
_space_group_name_Hall '-F 4 2 3'
_cell_length_a 7.4380
_cell_length_b 7.4380
_cell_length_c 7.4380
_cell_angle_alpha 90.00
_cell_angle_beta 90.00
_cell_angle_gamma 90.00
loop_
_atom_site_label
_atom_site_type_symbol
_atom_site_fract_x
_atom_site_fract_y
_atom_site_fract_z
_atom_site_occupancy
Dy1 Dy 0.0000 0.0000 0.0000 1
Ho1 Ho 0.0000 0.0000 0.5000 1
Hg1 Hg 0.2500 0.2500 0.2500 1
```

---

3.
# LiDyHg2
Calculated powder diffraction line list, CuKα. Input: DFT lattice parameters and positions (PBE).
Neutral-atom scattering factors, no anomalous dispersion.

Top 10 peaks for 2θ = 10–90°, sorted by position:
Position (°2θ)	I (rel.)	h k l
21.6	18	1 1 1
25.0	21	2 0 0
35.7	100	2 2 0
42.1	9	3 1 1
44.1	7	2 2 2
51.4	18	4 0 0
58.0	9	4 2 0
64.2	37	4 2 2
75.6	12	4 4 0
86.6	17	6 2 0

Crystal structure
```
data_LiDyHg2
_space_group_name_H-M_alt 'F m -3 m'
_space_group_IT_number 225
_space_group_name_Hall '-F 4 2 3'
_cell_length_a 7.1121
_cell_length_b 7.1121
_cell_length_c 7.1121
_cell_angle_alpha 90.00
_cell_angle_beta 90.00
_cell_angle_gamma 90.00
loop_
_atom_site_label
_atom_site_type_symbol
_atom_site_fract_x
_atom_site_fract_y
_atom_site_fract_z
_atom_site_occupancy
Li1 Li 0.0000 0.0000 0.0000 1
Dy1 Dy 0.0000 0.0000 0.5000 1
Hg1 Hg 0.2500 0.2500 0.2500 1
```